Structure and theoretical PXRD pattern of SrHg3 (DFT lattice parameters and positions (PBE); CuKα).
Intensities are scaled so that the largest is 1000.

Structure:
```
SrHg3
1.0
6.924 0.000 0.000
0.000 6.924 0.000
0.000 0.000 4.800
Sr Hg
2 6
Cartesian
0.000 0.000 0.000
3.462 3.462 0.000
0.000 3.462 0.000
1.566 1.896 2.400
1.896 5.358 2.400
3.462 0.000 0.000
5.028 1.566 2.400
5.358 5.028 2.400
```

The 8 most intense peaks (5° ≤ 2θ ≤ 70°), in order of falling intensity:
31.9 deg, I 1000, hkl 2 0 1; 36.7 deg, I 327, hkl 2 2 0; 63.1 deg, I 235, hkl 4 2 1; 53.5 deg, I 225, hkl 2 2 2; 37.5 deg, I 172, hkl 0 0 2; 64.1 deg, I 138, hkl 2 0 3; 66.6 deg, I 105, hkl 4 0 2; 52.9 deg, I 104, hkl 4 0 0